1.
Calculated powder X-ray diffraction pattern of Ho2Be6Pt9 for Cu Ka, from a crystal structure in Alexandria, relaxed with PBE.

Cell and atoms:
```
data_Ho2Be6Pt9
_chemical_formula_sum 'Ho2 Be6 Pt9'
_cell_length_a 5.5044
_cell_length_b 5.5044
_cell_length_c 10.1619
_cell_angle_alpha 90.00
_cell_angle_beta 90.00
_cell_angle_gamma 120.00
_symmetry_space_group_name_H-M 'P 6/m m m'
_symmetry_Int_Tables_number 191
_symmetry_space_group_name_Hall '-P 6 2'
loop_
_atom_site_label
_atom_site_type_symbol
_atom_site_fract_x
_atom_site_fract_y
_atom_site_fract_z
Ho1 Ho 0.0000 0.0000 0.1898
Be1 Be 0.3333 0.6667 0.1656
Be2 Be 0.3333 0.6667 0.5000
Pt1 Pt 0.0000 0.5000 0.0000
Pt2 Pt 0.0000 0.5000 0.3332
```

Most intense lines, 10° ≤ 2θ ≤ 90°, low angle first:
index, Position (°2θ), I/Imax
0 0 3, 26.31, 40
1 0 3, 32.42, 53
2 0 0, 37.74, 100
1 1 3, 42.31, 29
2 0 3, 46.59, 56
2 1 3, 57.98, 21
2 0 6, 67.89, 33
2 2 0, 68.14, 19


2.
Calculated powder X-ray diffraction pattern of Ho2BeZnPt2 for Cu Ka, from a crystal structure in Alexandria, relaxed with PBE.

Cell and atoms:
```
data_Ho2BeZnPt2
_chemical_formula_sum 'Ho8 Be4 Zn4 Pt8'
_cell_length_a 5.8201
_cell_length_b 13.5924
_cell_length_c 5.6969
_cell_angle_alpha 90.00
_cell_angle_beta 90.00
_cell_angle_gamma 90.00
_symmetry_space_group_name_H-M 'I b a m'
_symmetry_Int_Tables_number 72
_symmetry_space_group_name_Hall '-I 2 2c'
loop_
_atom_site_label
_atom_site_type_symbol
_atom_site_fract_x
_atom_site_fract_y
_atom_site_fract_z
Ho1 Ho 0.2380 0.1687 0.0000
Be1 Be 0.0000 0.5000 0.2500
Zn1 Zn 0.0000 0.0000 0.2500
Pt1 Pt 0.2179 0.3881 0.0000
```

Most intense lines, 10° ≤ 2θ ≤ 90°, low angle first:
index, Position (°2θ), I/Imax
0 4 0, 26.23, 56
2 0 0, 30.72, 71
0 0 2, 31.41, 75
1 4 1, 34.38, 100
2 4 0, 40.83, 58
0 4 2, 41.36, 62
2 0 2, 44.51, 82
1 6 1, 45.84, 34


3.
Calculated powder X-ray diffraction pattern of HoBe17Re for Cu Ka, from a crystal structure in Alexandria, relaxed with PBE.

Cell and atoms:
```
data_HoBe17Re
_chemical_formula_sum 'Ho3 Be51 Re3'
_cell_length_a 7.4525
_cell_length_b 7.4525
_cell_length_c 10.8534
_cell_angle_alpha 90.00
_cell_angle_beta 90.00
_cell_angle_gamma 120.00
_symmetry_space_group_name_H-M 'R 3 m'
_symmetry_Int_Tables_number 160
_symmetry_space_group_name_Hall 'R 3 -2"'
loop_
_atom_site_label
_atom_site_type_symbol
_atom_site_fract_x
_atom_site_fract_y
_atom_site_fract_z
Ho1 Ho 0.0000 0.0000 0.0000
Be1 Be 0.0000 0.0000 0.2490
Be2 Be 0.0000 0.0000 0.4429
Be3 Be 0.0004 0.5002 0.8405
Be4 Be 0.0061 0.5030 0.1827
Be5 Be 0.0072 0.2955 0.3400
Be6 Be 0.0103 0.5052 0.4952
Re1 Re 0.0000 0.0000 0.6759
```

Most intense lines, 10° ≤ 2θ ≤ 90°, low angle first:
index, Position (°2θ), I/Imax
1 0 1, 15.98, 66
0 1 2, 21.39, 27
1 1 0, 23.88, 100
0 0 3, 24.61, 31
1 1 3, 34.56, 90
3 0 0, 42.00, 30
3 0 3, 49.28, 42
4 1 3, 71.94, 23


4.
Calculated powder X-ray diffraction pattern of HoBe9Rh2 for Cu Ka, from a crystal structure in Alexandria, relaxed with PBE.

Cell and atoms:
```
data_HoBe9Rh2
_chemical_formula_sum 'Ho2 Be18 Rh4'
_cell_length_a 4.4671
_cell_length_b 4.4671
_cell_length_c 14.2466
_cell_angle_alpha 90.00
_cell_angle_beta 90.00
_cell_angle_gamma 120.00
_symmetry_space_group_name_H-M 'P 63/m m c'
_symmetry_Int_Tables_number 194
_symmetry_space_group_name_Hall '-P 6c 2c'
loop_
_atom_site_label
_atom_site_type_symbol
_atom_site_fract_x
_atom_site_fract_y
_atom_site_fract_z
Ho1 Ho 0.3333 0.6667 0.2500
Be1 Be 0.0000 0.0000 0.0000
Be2 Be 0.0000 0.0000 0.2500
Be3 Be 0.1698 0.3396 0.6169
Be4 Be 0.3333 0.6667 0.7500
Rh1 Rh 0.3333 0.6667 0.0402
```

Most intense lines, 10° ≤ 2θ ≤ 90°, low angle first:
index, Position (°2θ), I/Imax
1 0 0, 22.99, 54
1 0 1, 23.83, 100
0 0 4, 25.00, 33
1 0 5, 39.27, 91
1 1 0, 40.38, 61
1 1 4, 48.08, 47
2 0 5, 57.59, 26
2 1 5, 72.68, 29


5.
Calculated powder X-ray diffraction pattern of HoBe3Rh3 for Cu Ka, from a crystal structure in Alexandria, relaxed with PBE.

Cell and atoms:
```
data_HoBe3Rh3
_chemical_formula_sum 'Ho2 Be6 Rh6'
_cell_length_a 5.9845
_cell_length_b 5.9845
_cell_length_c 5.9845
_cell_angle_alpha 90.00
_cell_angle_beta 90.00
_cell_angle_gamma 90.00
_symmetry_space_group_name_H-M 'P m -3 n'
_symmetry_Int_Tables_number 223
_symmetry_space_group_name_Hall '-P 4n 2 3'
loop_
_atom_site_label
_atom_site_type_symbol
_atom_site_fract_x
_atom_site_fract_y
_atom_site_fract_z
Ho1 Ho 0.0000 0.0000 0.0000
Be1 Be 0.0000 0.2500 0.5000
Rh1 Rh 0.0000 0.5000 0.2500
```

Most intense lines, 10° ≤ 2θ ≤ 90°, low angle first:
index, Position (°2θ), I/Imax
2 0 0, 29.86, 44
2 1 0, 33.48, 68
2 1 1, 36.79, 100
3 2 0, 55.35, 16
3 2 1, 57.63, 54
4 0 0, 62.03, 18
4 2 0, 70.35, 15
5 2 1, 89.75, 16


6.
Calculated powder X-ray diffraction pattern of HoBeSi2Rh2 for Cu Ka, from a crystal structure in Alexandria, relaxed with PBE.

Cell and atoms:
```
data_HoBeSi2Rh2
_chemical_formula_sum 'Ho1 Be1 Si2 Rh2'
_cell_length_a 4.1720
_cell_length_b 4.1720
_cell_length_c 5.4542
_cell_angle_alpha 90.00
_cell_angle_beta 90.00
_cell_angle_gamma 90.00
_symmetry_space_group_name_H-M 'P 4/m m m'
_symmetry_Int_Tables_number 123
_symmetry_space_group_name_Hall '-P 4 2'
loop_
_atom_site_label
_atom_site_type_symbol
_atom_site_fract_x
_atom_site_fract_y
_atom_site_fract_z
Ho1 Ho 0.0000 0.0000 0.0000
Be1 Be 0.0000 0.0000 0.5000
Si1 Si 0.0000 0.5000 0.5000
Rh1 Rh 0.5000 0.5000 0.2460
```

Most intense lines, 10° ≤ 2θ ≤ 90°, low angle first:
index, Position (°2θ), I/Imax
1 0 1, 26.91, 43
1 1 0, 30.30, 74
1 1 1, 34.57, 48
1 0 2, 39.48, 100
2 0 0, 43.38, 50
2 1 2, 60.08, 58
2 2 0, 63.02, 16
3 0 2, 77.00, 24


7.
Calculated powder X-ray diffraction pattern of HoTmBe2Si2 for Cu Ka, from a crystal structure in Alexandria, relaxed with PBE.

Cell and atoms:
```
data_HoTmBe2Si2
_chemical_formula_sum 'Ho1 Tm1 Be2 Si2'
_cell_length_a 3.8460
_cell_length_b 3.8460
_cell_length_c 7.9595
_cell_angle_alpha 90.00
_cell_angle_beta 90.00
_cell_angle_gamma 120.00
_symmetry_space_group_name_H-M 'P -3 m 1'
_symmetry_Int_Tables_number 164
_symmetry_space_group_name_Hall '-P 3 2"'
loop_
_atom_site_label
_atom_site_type_symbol
_atom_site_fract_x
_atom_site_fract_y
_atom_site_fract_z
Ho1 Ho 0.0000 0.0000 0.0000
Tm1 Tm 0.0000 0.0000 0.5000
Be1 Be 0.3333 0.6667 0.7472
Si1 Si 0.3333 0.6667 0.2521
```

Most intense lines, 10° ≤ 2θ ≤ 90°, low angle first:
index, Position (°2θ), I/Imax
0 0 2, 22.34, 26
1 0 0, 26.77, 66
1 0 2, 35.13, 100
1 1 0, 47.27, 26
0 1 4, 53.65, 20
0 2 2, 60.24, 21
1 1 4, 67.77, 18
2 1 2, 79.93, 19


8.
Calculated powder X-ray diffraction pattern of HoBe9Tc2 for Cu Ka, from a crystal structure in Alexandria, relaxed with PBE.

Cell and atoms:
```
data_HoBe9Tc2
_chemical_formula_sum 'Ho2 Be18 Tc4'
_cell_length_a 4.4660
_cell_length_b 4.4660
_cell_length_c 14.3994
_cell_angle_alpha 90.00
_cell_angle_beta 90.00
_cell_angle_gamma 120.00
_symmetry_space_group_name_H-M 'P 63/m m c'
_symmetry_Int_Tables_number 194
_symmetry_space_group_name_Hall '-P 6c 2c'
loop_
_atom_site_label
_atom_site_type_symbol
_atom_site_fract_x
_atom_site_fract_y
_atom_site_fract_z
Ho1 Ho 0.3333 0.6667 0.2500
Be1 Be 0.0000 0.0000 0.0000
Be2 Be 0.0000 0.0000 0.2500
Be3 Be 0.1695 0.3390 0.6200
Be4 Be 0.3333 0.6667 0.7500
Tc1 Tc 0.3333 0.6667 0.0304
```

Most intense lines, 10° ≤ 2θ ≤ 90°, low angle first:
index, Position (°2θ), I/Imax
1 0 0, 23.00, 59
1 0 1, 23.82, 100
0 0 4, 24.73, 50
1 0 4, 34.02, 36
1 0 5, 38.99, 88
1 1 0, 40.39, 67
1 1 4, 47.94, 68
2 1 5, 72.52, 28


9.
Calculated powder X-ray diffraction pattern of HoBe17V for Cu Ka, from a crystal structure in Alexandria, relaxed with PBE.

Cell and atoms:
```
data_HoBe17V
_chemical_formula_sum 'Ho3 Be51 V3'
_cell_length_a 7.4720
_cell_length_b 7.4720
_cell_length_c 10.9066
_cell_angle_alpha 90.00
_cell_angle_beta 90.00
_cell_angle_gamma 120.00
_symmetry_space_group_name_H-M 'R 3 m'
_symmetry_Int_Tables_number 160
_symmetry_space_group_name_Hall 'R 3 -2"'
loop_
_atom_site_label
_atom_site_type_symbol
_atom_site_fract_x
_atom_site_fract_y
_atom_site_fract_z
Ho1 Ho 0.0000 0.0000 0.0000
Be1 Be 0.0000 0.0000 0.2468
Be2 Be 0.0000 0.0000 0.4405
Be3 Be 0.0052 0.2925 0.3387
Be4 Be 0.0061 0.5031 0.1818
Be5 Be 0.0078 0.5039 0.4944
Be6 Be 0.1677 0.3354 0.1735
V1 V 0.0000 0.0000 0.6707
```

Most intense lines, 10° ≤ 2θ ≤ 90°, low angle first:
index, Position (°2θ), I/Imax
1 0 1, 15.93, 100
0 1 2, 21.31, 56
1 1 0, 23.82, 84
0 2 1, 28.78, 31
1 1 3, 34.42, 83
2 1 1, 37.69, 30
3 0 0, 41.88, 30
3 0 3, 49.11, 43


10.
Calculated powder X-ray diffraction pattern of HoBe2Zn9 for Cu Ka, from a crystal structure in Alexandria, relaxed with PBE.

Cell and atoms:
```
data_HoBe2Zn9
_chemical_formula_sum 'Ho4 Be8 Zn36'
_cell_length_a 10.2805
_cell_length_b 10.2805
_cell_length_c 6.5798
_cell_angle_alpha 90.00
_cell_angle_beta 90.00
_cell_angle_gamma 90.00
_symmetry_space_group_name_H-M 'I 41/a m d'
_symmetry_Int_Tables_number 141
loop_
_symmetry_equiv_pos_as_xyz
'x,y,z'
'-x,-y,-z'
'-y+1/4,x+3/4,z+1/4'
'y+1/4,-x+3/4,-z+1/4'
'-x+1/2,-y,z+1/2'
'x+1/2,y,-z+1/2'
'y+1/4,-x+1/4,z+3/4'
'-y+1/4,x+1/4,-z+3/4'
'x,-y,-z'
'-x,y,z'
'-y+1/4,-x+1/4,-z+3/4'
'y+1/4,x+1/4,z+3/4'
'-x+1/2,y,-z+1/2'
'x+1/2,-y,z+1/2'
'y+1/4,x+3/4,-z+1/4'
'-y+1/4,-x+3/4,z+1/4'
'x+1/2,y+1/2,z+1/2'
'-x+1/2,-y+1/2,-z+1/2'
'-y+3/4,x+1/4,z+3/4'
'y+3/4,-x+1/4,-z+3/4'
'-x,-y+1/2,z'
'x,y+1/2,-z'
'y+3/4,-x+3/4,z+1/4'
'-y+3/4,x+3/4,-z+1/4'
'x+1/2,-y+1/2,-z+1/2'
'-x+1/2,y+1/2,z+1/2'
'-y+3/4,-x+3/4,-z+1/4'
'y+3/4,x+3/4,z+1/4'
'-x,y+1/2,-z'
'x,-y+1/2,z'
'y+3/4,x+1/4,-z+3/4'
'-y+3/4,-x+1/4,z+3/4'
loop_
_atom_site_label
_atom_site_type_symbol
_atom_site_fract_x
_atom_site_fract_y
_atom_site_fract_z
Ho1 Ho 0.0000 0.2500 0.3750
Be1 Be 0.0000 0.0000 0.0000
Zn1 Zn 0.0000 0.2500 0.8750
Zn2 Zn 0.1218 0.0496 0.6844
```

Most intense lines, 10° ≤ 2θ ≤ 90°, low angle first:
index, Position (°2θ), I/Imax
2 2 0, 24.49, 21
3 0 1, 29.39, 25
3 2 1, 34.28, 18
3 1 2, 38.95, 100
4 2 0, 39.19, 68
1 0 3, 42.13, 22
5 0 1, 46.26, 28
5 5 2, 70.86, 26


11.
Calculated powder X-ray diffraction pattern of HoBeZn for Cu Ka, from a crystal structure in Alexandria, relaxed with PBE.

Cell and atoms:
```
data_HoBeZn
_chemical_formula_sum 'Ho4 Be4 Zn4'
_cell_length_a 5.0782
_cell_length_b 3.8173
_cell_length_c 11.0789
_cell_angle_alpha 90.00
_cell_angle_beta 90.00
_cell_angle_gamma 90.00
_symmetry_space_group_name_H-M 'P n m a'
_symmetry_Int_Tables_number 62
_symmetry_space_group_name_Hall '-P 2ac 2n'
loop_
_atom_site_label
_atom_site_type_symbol
_atom_site_fract_x
_atom_site_fract_y
_atom_site_fract_z
Ho1 Ho 0.1119 0.2500 0.1327
Be1 Be 0.1059 0.2500 0.4757
Zn1 Zn 0.1288 0.7500 0.3466
```

Most intense lines, 10° ≤ 2θ ≤ 90°, low angle first:
index, Position (°2θ), I/Imax
1 1 1, 30.38, 42
0 0 4, 32.32, 42
1 1 2, 33.53, 100
2 0 1, 36.30, 45
1 1 3, 38.26, 47
0 2 0, 47.65, 19
2 0 5, 55.00, 18
2 2 1, 61.34, 21


12.
Calculated powder X-ray diffraction pattern of HoZrBe17 for Cu Ka, from a crystal structure in Alexandria, relaxed with PBE.

Cell and atoms:
```
data_HoZrBe17
_chemical_formula_sum 'Ho3 Zr3 Be51'
_cell_length_a 7.6045
_cell_length_b 7.6045
_cell_length_c 11.0966
_cell_angle_alpha 90.00
_cell_angle_beta 90.00
_cell_angle_gamma 120.00
_symmetry_space_group_name_H-M 'R 3 m'
_symmetry_Int_Tables_number 160
_symmetry_space_group_name_Hall 'R 3 -2"'
loop_
_atom_site_label
_atom_site_type_symbol
_atom_site_fract_x
_atom_site_fract_y
_atom_site_fract_z
Ho1 Ho 0.0000 0.0000 0.0000
Zr1 Zr 0.0000 0.0000 0.6755
Be1 Be 0.0000 0.0000 0.2446
Be2 Be 0.0000 0.0000 0.4363
Be3 Be 0.0012 0.2838 0.3385
Be4 Be 0.0006 0.5003 0.4976
Be5 Be 0.0027 0.5013 0.1791
Be6 Be 0.1681 0.3362 0.1735
```

Most intense lines, 10° ≤ 2θ ≤ 90°, low angle first:
index, Position (°2θ), I/Imax
1 0 1, 15.65, 75
0 1 2, 20.94, 35
1 1 0, 23.40, 100
0 0 3, 24.06, 31
1 1 3, 33.81, 95
3 0 0, 41.12, 32
2 2 0, 47.85, 26
3 0 3, 48.20, 47